Simulated powder XRD pattern
Compound: Li4Cr2P4H3O16
Radiation: λ = 1.5418 Å (Cu Kα)
Structure: a GGA+U-relaxed structure
Peak positions follow from Bragg's law for the DFT cell and can differ from measured ones.

Structural model:
```
Li4Cr2P4H3O16
1.0
4.950 0.000 0.000
1.843 7.469 0.000
0.270 0.037 8.364
Li Cr P H O
4 2 4 3 16
direct
0.000 0.000 0.000
0.188 0.691 0.240
0.489 0.528 0.770
0.718 0.169 0.478
0.101 0.846 0.623
0.603 0.350 0.120
0.227 0.091 0.277
0.494 0.104 0.799
0.707 0.591 0.447
0.978 0.611 0.970
0.055 0.377 0.521
0.150 0.327 0.738
0.559 0.869 0.137
0.086 0.649 0.802
0.119 0.042 0.440
0.224 0.501 0.069
0.273 0.001 0.829
0.349 0.294 0.709
0.357 0.907 0.185
0.452 0.199 0.295
0.483 0.674 0.571
0.579 0.538 0.294
0.619 0.158 0.952
0.720 0.022 0.674
0.759 0.495 0.950
0.852 0.400 0.534
0.856 0.786 0.063
0.929 0.693 0.417
0.987 0.190 0.173
```

The 12 most intense peaks (5 to 70 degrees two-theta), sorted by position:
2θ/deg  I/Imax  h k l
15.91  65  0 1 -1
21.87  33  1 1 1
22.47  25  1 1 -1
24.32  100  1 -1 0
24.44  25  0 1 -2
27.86  19  1 0 2
28.34  39  1 2 1
28.48  22  1 1 2
28.72  22  1 0 -2
28.85  42  1 2 -1
32.06  34  0 2 2
32.20  27  0 2 -2

Simulated powder XRD pattern
Compound: MgVCrP2H2O10
Radiation: λ = 1.5418 Å (Cu Kα)
Structure: a GGA+U-relaxed structure
Peak positions follow from Bragg's law for the DFT cell and can differ from measured ones.

Structural model:
```
MgVCrP2H2O10
1.0
5.188 0.000 0.000
-0.300 5.422 0.000
-2.220 -2.726 6.473
Mg V Cr P H O
1 1 1 2 2 10
direct
0.000 0.000 0.000
0.500 0.001 0.500
0.000 0.500 0.001
0.389 0.601 0.749
0.611 0.400 0.252
0.021 0.146 0.693
0.979 0.854 0.308
0.121 0.858 0.243
0.205 0.693 0.885
0.304 0.319 0.106
0.313 0.294 0.638
0.346 0.754 0.606
0.655 0.248 0.395
0.686 0.708 0.363
0.696 0.681 0.895
0.795 0.308 0.116
0.879 0.142 0.757
```

The 12 most intense peaks (5 to 70 degrees two-theta), sorted by position:
2θ/deg  I/Imax  h k l
17.73  14  0 1 -1
18.68  26  1 0 -1
26.42  100  1 0 1
26.61  9  1 -1 1
27.30  34  -1 1 1
28.37  32  1 1 -2
34.66  9  2 0 -1
38.87  9  1 2 -1
42.67  8  -1 2 1
44.15  11  1 2 -3
54.41  10  2 0 2
56.42  10  2 0 -4